Diffraction record for CaYP7O20. The PXRD pattern is calculated, not measured: it uses a DFT-relaxed cell (PBE, Alexandria) and Cu Ka.

Main lines, most intense first (10° ≤ 2θ ≤ 90°):
2theta	Rel. int.
22.0	100
22.5	77
20.4	24
17.4	20
20.8	14
20.6	14
46.0	10
44.0	10

Structure:
Cell: 13.0352 13.0352 10.8762 Å, 106.77 106.77 31.02°
Fractional coordinates of all 58 atoms:
Ca1 0.0000 0.0000 0.0000
Ca2 0.0000 0.0000 0.5000
Y1 0.0000 0.5000 0.0000
Y2 0.5000 0.0000 0.5000
P1 0.0194 0.2603 0.4647
P2 0.2515 0.3921 0.3281
P3 0.2603 0.0194 0.9647
P4 0.2756 0.5500 0.7574
P5 0.3593 0.6407 0.2500
P6 0.3921 0.2515 0.8281
P7 0.4500 0.7244 0.7426
P8 0.5500 0.2756 0.2574
P9 0.6079 0.7485 0.1719
P10 0.6407 0.3593 0.7500
P11 0.7244 0.4500 0.2426
P12 0.7397 0.9806 0.0353
P13 0.7485 0.6079 0.6719
P14 0.9806 0.7397 0.5353
O1 0.0184 0.1453 0.4537
O2 0.0608 0.6039 0.3998
O3 0.1453 0.0184 0.9537
O4 0.1545 0.5689 0.6404
O5 0.1565 0.7334 0.8414
O6 0.1600 0.2045 0.9509
O7 0.1807 0.3943 0.1921
O8 0.2045 0.1600 0.4509
O9 0.2281 0.3757 0.9063
O10 0.2483 0.7313 0.3610
O11 0.2666 0.8435 0.6586
O12 0.2687 0.7517 0.1390
O13 0.3745 0.3946 0.3299
O14 0.3757 0.2281 0.4063
O15 0.3943 0.1807 0.6921
O16 0.3946 0.3745 0.8299
O17 0.3961 0.9392 0.1002
O18 0.4311 0.8455 0.8596
O19 0.4395 0.4561 0.6894
O20 0.4561 0.4395 0.1894
O21 0.5439 0.5605 0.8106
O22 0.5605 0.5439 0.3106
O23 0.5689 0.1545 0.1404
O24 0.6039 0.0608 0.8998
O25 0.6054 0.6255 0.1701
O26 0.6057 0.8193 0.3079
O27 0.6243 0.7719 0.5937
O28 0.6255 0.6054 0.6701
O29 0.7313 0.2483 0.8610
O30 0.7334 0.1565 0.3414
O31 0.7517 0.2687 0.6390
O32 0.7719 0.6243 0.0937
O33 0.7955 0.8400 0.5491
O34 0.8193 0.6057 0.8079
O35 0.8400 0.7955 0.0491
O36 0.8435 0.2666 0.1586
O37 0.8455 0.4311 0.3596
O38 0.8547 0.9816 0.0463
O39 0.9392 0.3961 0.6002
O40 0.9816 0.8547 0.5463